Computed XRD peak list of Li2ZnAu5 for Cu Kα, 1.54184 Å, from the PBE geometry in Alexandria.

Principal peaks in the range 5 to 70 degrees two-theta, by angle:
- d = 3.721 Å, I 38
- d = 2.979 Å, I 44
- d = 2.329 Å, I 100
- d = 2.322 Å, I 99
- d = 2.126 Å, I 38
- d = 2.087 Å, I 36
- d = 1.861 Å, I 26
- d = 1.489 Å, I 25

Cell and atoms:
```
data_Li2ZnAu5
_space_group_name_H-M_alt 'C 1 m 1'
_space_group_IT_number 8
_space_group_name_Hall 'C -2y'
_cell_length_a 7.4426
_cell_length_b 8.3494
_cell_length_c 5.6362
_cell_angle_alpha 90.00
_cell_angle_beta 131.03
_cell_angle_gamma 90.00
loop_
_atom_site_label
_atom_site_fract_x
_atom_site_fract_y
_atom_site_fract_z
_atom_site_occupancy
Li1 0.0000 0.2504 0.0000 1
Zn1 0.2501 0.0000 0.5003 1
Au1 0.0000 0.2500 0.5001 1
Au2 0.2494 0.0000 0.9999 1
Au3 0.2495 0.5000 0.4990 1
Au4 0.2506 0.5000 0.9999 1
```


Computed XRD peak list of Li6Zn2Au for Cu Kα, 1.54184 Å, from the PBE geometry in Alexandria.

Principal peaks in the range 5 to 70 degrees two-theta, by angle:
- d = 5.119 Å, I 26
- d = 3.894 Å, I 100
- d = 2.248 Å, I 31
- d = 2.174 Å, I 51
- d = 1.947 Å, I 15
- d = 1.706 Å, I 18
- d = 1.563 Å, I 18
- d = 1.472 Å, I 12

Cell and atoms:
```
data_Li6Zn2Au
_space_group_name_H-M_alt 'R -3 m'
_space_group_IT_number 166
_space_group_name_Hall '-R 3 2"'
_cell_length_a 7.7881
_cell_length_b 7.7881
_cell_length_c 7.8632
_cell_angle_alpha 90.00
_cell_angle_beta 90.00
_cell_angle_gamma 120.00
loop_
_atom_site_label
_atom_site_fract_x
_atom_site_fract_y
_atom_site_fract_z
_atom_site_occupancy
Li1 0.0000 0.3362 0.0000 1
Zn1 0.0000 0.0000 0.1622 1
Au1 0.0000 0.0000 0.5000 1
```


Computed XRD peak list of Li5ZnAu2 for Cu Kα, 1.54184 Å, from the PBE geometry in Alexandria.

Principal peaks in the range 5 to 70 degrees two-theta, by angle:
- d = 5.823 Å, I 94
- d = 3.285 Å, I 100
- d = 2.911 Å, I 37
- d = 2.861 Å, I 69
- d = 2.323 Å, I 47
- d = 2.179 Å, I 78
- d = 2.158 Å, I 33
- d = 1.816 Å, I 38

Cell and atoms:
```
data_Li5ZnAu2
_space_group_name_H-M_alt 'I 4/m m m'
_space_group_IT_number 139
_space_group_name_Hall '-I 4 2'
_cell_length_a 4.6464
_cell_length_b 4.6464
_cell_length_c 11.6451
_cell_angle_alpha 90.00
_cell_angle_beta 90.00
_cell_angle_gamma 90.00
loop_
_atom_site_label
_atom_site_fract_x
_atom_site_fract_y
_atom_site_fract_z
_atom_site_occupancy
Li1 0.0000 0.0000 0.0000 1
Li2 0.0000 0.5000 0.1335 1
Zn1 0.0000 0.0000 0.5000 1
Au1 0.0000 0.0000 0.2532 1
```


Computed XRD peak list of Li5ZnAu3 for Cu Kα, 1.54184 Å, from the PBE geometry in Alexandria.

Principal peaks in the range 5 to 70 degrees two-theta, by angle:
- d = 3.879 Å, I 16
- d = 3.145 Å, I 100
- d = 2.240 Å, I 38
- d = 2.208 Å, I 23
- d = 1.824 Å, I 21
- d = 1.720 Å, I 20
- d = 1.625 Å, I 15
- d = 1.414 Å, I 19

Cell and atoms:
```
data_Li5ZnAu3
_space_group_name_H-M_alt 'P 63/m c m'
_space_group_IT_number 193
_space_group_name_Hall '-P 6c 2'
_cell_length_a 7.7583
_cell_length_b 7.7583
_cell_length_c 5.3702
_cell_angle_alpha 90.00
_cell_angle_beta 90.00
_cell_angle_gamma 120.00
loop_
_atom_site_label
_atom_site_fract_x
_atom_site_fract_y
_atom_site_fract_z
_atom_site_occupancy
Li1 0.0000 0.3255 0.2500 1
Li2 0.3333 0.6667 0.0000 1
Zn1 0.0000 0.0000 0.0000 1
Au1 0.0000 0.3397 0.7500 1
```


Computed XRD peak list of Li6ZnAu10 for Cu Kα, 1.54184 Å, from the PBE geometry in Alexandria.

Principal peaks in the range 5 to 70 degrees two-theta, by angle:
- d = 3.307 Å, I 33
- d = 3.137 Å, I 96
- d = 2.539 Å, I 21
- d = 2.500 Å, I 24
- d = 2.276 Å, I 40
- d = 2.231 Å, I 100
- d = 2.205 Å, I 68
- d = 1.568 Å, I 27

Cell and atoms:
```
data_Li6ZnAu10
_space_group_name_H-M_alt 'P -3 1 m'
_space_group_IT_number 162
_space_group_name_Hall '-P 3 2'
_cell_length_a 7.6377
_cell_length_b 7.6377
_cell_length_c 5.4982
_cell_angle_alpha 90.00
_cell_angle_beta 90.00
_cell_angle_gamma 120.00
loop_
_atom_site_label
_atom_site_fract_x
_atom_site_fract_y
_atom_site_fract_z
_atom_site_occupancy
Li1 0.0000 0.3763 0.2068 1
Zn1 0.0000 0.0000 0.0000 1
Au1 0.0000 0.2760 0.6953 1
Au2 0.3333 0.6667 0.0000 1
Au3 0.3333 0.6667 0.5000 1
```


Computed XRD peak list of LiZn2Au8 for Cu Kα, 1.54184 Å, from the PBE geometry in Alexandria.

Principal peaks in the range 5 to 70 degrees two-theta, by angle:
- d = 3.547 Å, I 5
- d = 3.363 Å, I 5
- d = 2.489 Å, I 7
- d = 2.353 Å, I 100
- d = 2.109 Å, I 36
- d = 1.915 Å, I 13
- d = 1.491 Å, I 12
- d = 1.419 Å, I 15

Cell and atoms:
```
data_LiZn2Au8
_space_group_name_H-M_alt 'C 1 2/m 1'
_space_group_IT_number 12
_space_group_name_Hall '-C 2y'
_cell_length_a 14.2664
_cell_length_b 4.2220
_cell_length_c 6.5993
_cell_angle_alpha 90.00
_cell_angle_beta 109.47
_cell_angle_gamma 90.00
loop_
_atom_site_label
_atom_site_fract_x
_atom_site_fract_y
_atom_site_fract_z
_atom_site_occupancy
Li1 0.0000 0.0000 0.0000 1
Zn1 0.2224 0.5000 0.6435 1
Au1 0.0460 0.5000 0.7310 1
Au2 0.1002 0.0000 0.4552 1
Au3 0.1421 0.5000 0.2003 1
Au4 0.1785 0.0000 0.9283 1
```


Computed XRD peak list of Li3Zn6Au for Cu Kα, 1.54184 Å, from the PBE geometry in Alexandria.

Principal peaks in the range 5 to 70 degrees two-theta, by angle:
- d = 4.121 Å, I 100
- d = 3.097 Å, I 21
- d = 2.682 Å, I 30
- d = 2.249 Å, I 72
- d = 2.232 Å, I 28
- d = 2.074 Å, I 49
- d = 1.934 Å, I 21
- d = 1.716 Å, I 16

Cell and atoms:
```
data_Li3Zn6Au
_space_group_name_H-M_alt 'R -3'
_space_group_IT_number 148
_space_group_name_Hall '-R 3'
_cell_length_a 10.7280
_cell_length_b 10.7280
_cell_length_c 9.1966
_cell_angle_alpha 90.00
_cell_angle_beta 90.00
_cell_angle_gamma 120.00
loop_
_atom_site_label
_atom_site_fract_x
_atom_site_fract_y
_atom_site_fract_z
_atom_site_occupancy
Li1 0.0869 0.1754 0.2478 1
Zn1 0.0005 0.2562 0.5006 1
Zn2 0.0490 0.5230 0.6258 1
Au1 0.0000 0.0000 0.0000 1
Au2 0.0000 0.0000 0.5000 1
```


Computed XRD peak list of LiZnAu for Cu Kα, 1.54184 Å, from the PBE geometry in Alexandria.

Principal peaks in the range 5 to 70 degrees two-theta, by angle:
- d = 3.828 Å, I 100
- d = 2.727 Å, I 13
- d = 2.221 Å, I 89
- d = 2.210 Å, I 62
- d = 1.914 Å, I 16
- d = 1.717 Å, I 21
- d = 1.567 Å, I 30
- d = 1.447 Å, I 13

Cell and atoms:
```
data_LiZnAu
_space_group_name_H-M_alt 'P 3 m 1'
_space_group_IT_number 156
_space_group_name_Hall 'P 3 -2"'
_cell_length_a 4.4201
_cell_length_b 4.4201
_cell_length_c 2.7274
_cell_angle_alpha 90.00
_cell_angle_beta 90.00
_cell_angle_gamma 120.00
loop_
_atom_site_label
_atom_site_fract_x
_atom_site_fract_y
_atom_site_fract_z
_atom_site_occupancy
Li1 0.0000 0.0000 0.0000 1
Zn1 0.6667 0.3333 0.3067 1
Au1 0.3333 0.6667 0.6516 1
```


Computed XRD peak list of LiZn2Au7 for Cu Kα, 1.54184 Å, from the PBE geometry in Alexandria.

Principal peaks in the range 5 to 70 degrees two-theta, by angle:
- d = 3.113 Å, I 43
- d = 2.616 Å, I 21
- d = 2.201 Å, I 100
- d = 1.878 Å, I 8
- d = 1.797 Å, I 9
- d = 1.557 Å, I 15
- d = 1.429 Å, I 6
- d = 1.392 Å, I 8

Cell and atoms:
```
data_LiZn2Au7
_space_group_name_H-M_alt 'P 3 m 1'
_space_group_IT_number 156
_space_group_name_Hall 'P 3 -2"'
_cell_length_a 4.4008
_cell_length_b 4.4008
_cell_length_c 10.7947
_cell_angle_alpha 90.00
_cell_angle_beta 90.00
_cell_angle_gamma 120.00
loop_
_atom_site_label
_atom_site_fract_x
_atom_site_fract_y
_atom_site_fract_z
_atom_site_occupancy
Li1 0.0000 0.0000 0.0000 1
Zn1 0.3333 0.6667 0.6229 1
Zn2 0.6667 0.3333 0.2264 1
Au1 0.0000 0.0000 0.2748 1
Au2 0.0000 0.0000 0.7125 1
Au3 0.3333 0.6667 0.1201 1
Au4 0.3333 0.6667 0.3892 1
Au5 0.3333 0.6667 0.8563 1
Au6 0.6667 0.3333 0.5329 1
Au7 0.6667 0.3333 0.9730 1
```


Computed XRD peak list of Li3Zn2Au3 for Cu Kα, 1.54184 Å, from the PBE geometry in Alexandria.

Principal peaks in the range 5 to 70 degrees two-theta, by angle:
- d = 6.747 Å, I 46
- d = 3.122 Å, I 100
- d = 2.291 Å, I 28
- d = 2.249 Å, I 32
- d = 2.168 Å, I 33
- d = 2.064 Å, I 18
- d = 1.761 Å, I 27
- d = 1.588 Å, I 14

Cell and atoms:
```
data_Li3Zn2Au3
_space_group_name_H-M_alt 'P 63/m c m'
_space_group_IT_number 193
_space_group_name_Hall '-P 6c 2'
_cell_length_a 7.7909
_cell_length_b 7.7909
_cell_length_c 5.2187
_cell_angle_alpha 90.00
_cell_angle_beta 90.00
_cell_angle_gamma 120.00
loop_
_atom_site_label
_atom_site_fract_x
_atom_site_fract_y
_atom_site_fract_z
_atom_site_occupancy
Li1 0.0000 0.2592 0.2500 1
Zn1 0.3333 0.6667 0.0000 1
Au1 0.0000 0.3887 0.7500 1
```


Computed XRD peak list of Li5Zn5Au2 for Cu Kα, 1.54184 Å, from the PBE geometry in Alexandria.

Principal peaks in the range 5 to 70 degrees two-theta, by angle:
- d = 5.601 Å, I 76
- d = 3.821 Å, I 67
- d = 3.156 Å, I 52
- d = 2.284 Å, I 50
- d = 2.263 Å, I 100
- d = 2.257 Å, I 50
- d = 1.996 Å, I 34
- d = 1.986 Å, I 33

Cell and atoms:
```
data_Li5Zn5Au2
_space_group_name_H-M_alt 'P -1'
_space_group_IT_number 2
_space_group_name_Hall '-P 1'
_cell_length_a 4.7758
_cell_length_b 6.2630
_cell_length_c 6.8025
_cell_angle_alpha 68.22
_cell_angle_beta 87.31
_cell_angle_gamma 74.49
loop_
_atom_site_label
_atom_site_fract_x
_atom_site_fract_y
_atom_site_fract_z
_atom_site_occupancy
Li1 0.0000 0.0000 0.0000 1
Li2 0.0790 0.2519 0.5773 1
Li3 0.2503 0.7321 0.7589 1
Zn1 0.3505 0.0024 0.3366 1
Zn2 0.4090 0.2427 0.9161 1
Zn3 0.5000 0.5000 0.5000 1
Au1 0.1726 0.5045 0.1762 1
```


Computed XRD peak list of Li8Zn6Au for Cu Kα, 1.54184 Å, from the PBE geometry in Alexandria.

Principal peaks in the range 5 to 70 degrees two-theta, by angle:
- d = 6.153 Å, I 53
- d = 4.883 Å, I 32
- d = 4.633 Å, I 100
- d = 3.331 Å, I 17
- d = 2.317 Å, I 20
- d = 2.287 Å, I 52
- d = 2.051 Å, I 81
- d = 1.628 Å, I 33

Cell and atoms:
```
data_Li8Zn6Au
_space_group_name_H-M_alt 'R -3 m'
_space_group_IT_number 166
_space_group_name_Hall '-R 3 2"'
_cell_length_a 7.9235
_cell_length_b 7.9235
_cell_length_c 13.8995
_cell_angle_alpha 90.00
_cell_angle_beta 90.00
_cell_angle_gamma 120.00
loop_
_atom_site_label
_atom_site_fract_x
_atom_site_fract_y
_atom_site_fract_z
_atom_site_occupancy
Li1 0.0000 0.0000 0.1115 1
Li2 0.0921 0.5460 0.3337 1
Zn1 0.0000 0.3380 0.5000 1
Au1 0.0000 0.0000 0.5000 1
```